# 1
For CeMgAg, a crystal structure in the Materials Project, relaxed with GGA-PBE gives the computed XRD peak list in this record (a wavelength of 1.5418 Å).

Crystal structure
Cell: 7.886 7.886 4.363 Å, 90.00 90.00 120.00°
Sites, in units of the cell vectors:
Ce (0.000, 0.416, 0.000)
Ce (0.416, 0.000, 0.000)
Ce (0.584, 0.584, 0.000)
Mg (0.000, 0.760, 0.500)
Mg (0.240, 0.240, 0.500)
Mg (0.760, 0.000, 0.500)
Ag (0.000, 0.000, 0.000)
Ag (0.333, 0.667, 0.500)
Ag (0.667, 0.333, 0.500)

Main lines, by angle (2θ from 15° to 90°):
2θ = 22.55°, I = 32
2θ = 26.10°, I = 21
2θ = 30.56°, I = 75
2θ = 33.32°, I = 100
2θ = 34.75°, I = 21
2θ = 39.59°, I = 27
2θ = 40.61°, I = 25
2θ = 41.39°, I = 23
2θ = 48.03°, I = 17
2θ = 52.68°, I = 22
2θ = 58.61°, I = 17
2θ = 63.04°, I = 22

# 2
For Tm5NiPb3, a crystal structure in the Materials Project, relaxed with GGA-PBE gives the computed XRD peak list in this record (a wavelength of 1.5418 Å).

Crystal structure
Cell: 9.067 9.067 6.654 Å, 90.00 90.00 120.00°
Sites, in units of the cell vectors:
Tm (0.000, 0.237, 0.250)
Tm (0.000, 0.763, 0.750)
Tm (0.237, 0.000, 0.250)
Tm (0.237, 0.237, 0.750)
Tm (0.333, 0.667, 0.000)
Tm (0.333, 0.667, 0.500)
Tm (0.667, 0.333, 0.000)
Tm (0.667, 0.333, 0.500)
Tm (0.763, 0.000, 0.750)
Tm (0.763, 0.763, 0.250)
Ni (0.000, 0.000, 0.000)
Ni (0.000, 0.000, 0.500)
Pb (0.000, 0.399, 0.750)
Pb (0.000, 0.601, 0.250)
Pb (0.399, 0.000, 0.750)
Pb (0.399, 0.399, 0.250)
Pb (0.601, 0.000, 0.250)
Pb (0.601, 0.601, 0.750)

Main lines, by angle (2θ from 15° to 90°):
2θ = 26.80°, I = 19
2θ = 30.11°, I = 18
2θ = 33.05°, I = 100
2θ = 33.41°, I = 82
2θ = 34.26°, I = 40
2θ = 42.11°, I = 10
2θ = 43.73°, I = 17
2θ = 48.60°, I = 17
2θ = 51.43°, I = 29
2θ = 55.22°, I = 12
2θ = 65.75°, I = 19
2θ = 66.61°, I = 12

# 3
For MgAl2, a crystal structure in the Materials Project, relaxed with GGA-PBE gives the computed XRD peak list in this record (a wavelength of 1.5418 Å).

Crystal structure
Cell: 5.549 5.549 5.087 Å, 90.00 90.00 90.00°
Sites, in units of the cell vectors:
Mg (0.000, 0.000, 0.000)
Mg (0.500, 0.500, 0.500)
Al (0.164, 0.164, 0.500)
Al (0.336, 0.664, 0.000)
Al (0.664, 0.336, 0.000)
Al (0.836, 0.836, 0.500)

Main lines, by angle (2θ from 15° to 90°):
2θ = 22.66°, I = 94
2θ = 28.73°, I = 100
2θ = 35.28°, I = 57
2θ = 36.20°, I = 55
2θ = 40.44°, I = 72
2θ = 42.35°, I = 34
2θ = 49.82°, I = 23
2θ = 51.45°, I = 39
2θ = 52.66°, I = 69
2θ = 66.82°, I = 15
2θ = 76.16°, I = 22
2θ = 83.03°, I = 18

# 4
For LaCl, a crystal structure in the Materials Project, relaxed with GGA-PBE gives the computed XRD peak list in this record (a wavelength of 1.5418 Å).

Crystal structure
Cell: 11.095 11.095 11.095 Å, 21.21 21.21 21.21°
Sites, in units of the cell vectors:
La (0.213, 0.213, 0.213)
La (0.787, 0.787, 0.787)
Cl (0.401, 0.401, 0.401)
Cl (0.599, 0.599, 0.599)

Main lines, by angle (2θ from 15° to 90°):
2θ = 16.35°, I = 15
2θ = 24.63°, I = 14
2θ = 25.78°, I = 60
2θ = 28.74°, I = 100
2θ = 31.80°, I = 44
2θ = 37.57°, I = 31
2θ = 39.74°, I = 16
2θ = 44.37°, I = 34
2θ = 45.20°, I = 13
2θ = 51.88°, I = 14
2θ = 53.73°, I = 16
2θ = 56.43°, I = 16

# 5
For LiSbF4, a crystal structure in the Materials Project, relaxed with GGA-PBE gives the computed XRD peak list in this record (a wavelength of 1.5418 Å).

Crystal structure
Cell: 7.020 7.020 7.020 Å, 90.00 90.00 90.00°
Sites, in units of the cell vectors:
Li (0.169, 0.169, 0.169)
Li (0.331, 0.831, 0.669)
Li (0.669, 0.331, 0.831)
Li (0.831, 0.669, 0.331)
Sb (0.155, 0.345, 0.655)
Sb (0.345, 0.655, 0.155)
Sb (0.655, 0.155, 0.345)
Sb (0.845, 0.845, 0.845)
F (0.068, 0.628, 0.213)
F (0.128, 0.287, 0.932)
F (0.176, 0.676, 0.824)
F (0.213, 0.068, 0.628)
F (0.287, 0.932, 0.128)
F (0.324, 0.324, 0.324)
F (0.372, 0.713, 0.432)
F (0.432, 0.372, 0.713)
F (0.568, 0.872, 0.787)
F (0.628, 0.213, 0.068)
F (0.676, 0.824, 0.176)
F (0.713, 0.432, 0.372)
F (0.787, 0.568, 0.872)
F (0.824, 0.176, 0.676)
F (0.872, 0.787, 0.568)
F (0.932, 0.128, 0.287)

Main lines, by angle (2θ from 15° to 90°):
2θ = 17.87°, I = 84
2θ = 21.93°, I = 59
2θ = 25.37°, I = 28
2θ = 28.43°, I = 100
2θ = 31.21°, I = 43
2θ = 40.64°, I = 68
2θ = 46.65°, I = 22
2θ = 48.52°, I = 57
2θ = 53.84°, I = 17
2θ = 60.43°, I = 21
2θ = 68.11°, I = 29
2θ = 85.21°, I = 16

# 6
For SrLiBi, a crystal structure in the Materials Project, relaxed with GGA-PBE gives the computed XRD peak list in this record (a wavelength of 1.5418 Å).

Crystal structure
Cell: 8.234 4.949 8.691 Å, 90.00 90.00 90.00°
Sites, in units of the cell vectors:
Sr (0.003, 0.250, 0.209)
Sr (0.497, 0.750, 0.709)
Sr (0.503, 0.250, 0.291)
Sr (0.997, 0.750, 0.791)
Li (0.163, 0.250, 0.575)
Li (0.337, 0.750, 0.075)
Li (0.663, 0.250, 0.925)
Li (0.837, 0.750, 0.425)
Bi (0.224, 0.750, 0.406)
Bi (0.276, 0.250, 0.906)
Bi (0.724, 0.750, 0.094)
Bi (0.776, 0.250, 0.594)

Main lines, by angle (2θ from 15° to 90°):
2θ = 23.14°, I = 63
2θ = 23.34°, I = 100
2θ = 29.90°, I = 23
2θ = 30.05°, I = 75
2θ = 35.92°, I = 45
2θ = 36.31°, I = 27
2θ = 38.81°, I = 15
2θ = 38.93°, I = 23
2θ = 42.29°, I = 14
2θ = 43.50°, I = 25
2θ = 57.25°, I = 20
2θ = 58.03°, I = 24